This entry pairs a crystal structure of MgV4ZnO10 with its computed PXRD pattern. Radiation: Cu Kα X-rays. Structure: a GGA+U-relaxed structure.
Neutral-atom scattering factors, no anomalous dispersion.

```
MgV4ZnO10
1.0
11.4105 0.0000 0.0000
0.0000 1.9006 5.2836
0.0000 -1.9006 5.2836
Mg V Zn O
1 4 1 10
direct
0.0000 0.0000 0.0000 Mg
0.1563 0.6626 0.6626 V
0.3487 0.2562 0.2562 V
0.6513 0.2562 0.2562 V
0.8437 0.6626 0.6626 V
0.0000 0.3237 0.3237 Zn
0.0000 0.7792 0.7792 O
0.1058 0.5001 0.5001 O
0.1611 0.2113 0.2113 O
0.3154 0.7072 0.7072 O
0.3513 0.4088 0.4088 O
0.5000 0.2071 0.2071 O
0.6487 0.4088 0.4088 O
0.6846 0.7072 0.7072 O
0.8389 0.2113 0.2113 O
0.8942 0.5001 0.5001 O
```

Top 10 peaks for 10 to 90 degrees two-theta, in order of rising 2θ:
- 2θ = 16.78°, rel. 100.0
- 2θ = 22.94°, rel. 22.8
- 2θ = 24.89°, rel. 41.0
- 2θ = 26.11°, rel. 13.9
- 2θ = 28.92°, rel. 50.1
- 2θ = 34.42°, rel. 39.7
- 2θ = 34.72°, rel. 23.3
- 2θ = 41.62°, rel. 17.8
- 2θ = 47.85°, rel. 44.4
- 2θ = 51.05°, rel. 19.7

This entry pairs a crystal structure of Nd2Te4MoO14 with its computed PXRD pattern. Radiation: Cu Kα X-rays. Structure: a GGA+U-relaxed structure.
Neutral-atom scattering factors, no anomalous dispersion.

```
Nd2Te4MoO14
1.0
7.0487 0.0000 0.0000
-0.5770 10.1667 0.0000
-3.0355 -0.2023 9.8172
Nd Te Mo O
4 8 2 28
direct
0.1430 0.3096 0.0857 Nd
0.2787 0.5337 0.7852 Nd
0.7213 0.4663 0.2148 Nd
0.8570 0.6904 0.9143 Nd
0.1346 0.2725 0.4579 Te
0.2425 0.6082 0.2797 Te
0.4268 0.8332 0.6326 Te
0.4436 0.7883 0.0419 Te
0.5564 0.2117 0.9581 Te
0.5732 0.1668 0.3674 Te
0.7575 0.3918 0.7203 Te
0.8654 0.7275 0.5421 Te
0.0218 0.0371 0.7686 Mo
0.9782 0.9629 0.2314 Mo
0.0012 0.5817 0.1337 O
0.0846 0.3955 0.3116 O
0.0872 0.1238 0.9304 O
0.1139 0.8633 0.3643 O
0.1229 0.1172 0.2314 O
0.1897 0.3912 0.6038 O
0.2070 0.7018 0.9309 O
0.2138 0.7034 0.6018 O
0.2491 0.0001 0.7354 O
0.3692 0.7642 0.2093 O
0.3814 0.4903 0.2044 O
0.3937 0.3547 0.9499 O
0.4282 0.2774 0.4596 O
0.4728 0.2272 0.1858 O
0.5272 0.7728 0.8142 O
0.5718 0.7226 0.5404 O
0.6063 0.6453 0.0501 O
0.6186 0.5097 0.7956 O
0.6308 0.2358 0.7907 O
0.7509 0.9999 0.2646 O
0.7862 0.2966 0.3982 O
0.7930 0.2982 0.0691 O
0.8103 0.6088 0.3962 O
0.8771 0.8828 0.7686 O
0.8861 0.1367 0.6357 O
0.9128 0.8762 0.0696 O
0.9154 0.6045 0.6884 O
0.9988 0.4183 0.8663 O
```

Top 10 peaks for 10 to 90 degrees two-theta, in order of rising 2θ:
- 2θ = 24.96°, rel. 100.0
- 2θ = 25.59°, rel. 48.3
- 2θ = 25.91°, rel. 25.3
- 2θ = 27.32°, rel. 50.0
- 2θ = 27.44°, rel. 87.0
- 2θ = 27.90°, rel. 27.6
- 2θ = 29.15°, rel. 88.2
- 2θ = 30.25°, rel. 40.8
- 2θ = 45.20°, rel. 25.3
- 2θ = 52.06°, rel. 22.3